Na5TbMo4O16: theoretical X-ray diffraction stick pattern (Cu Ka), based on DFT lattice parameters and positions (GGA+U).
Intensities are scaled so that the largest is 100.

Most intense lines, 2θ from 15° to 90°, low angle first:
18.76 deg, d = 4.729 Å, rel. 26; 24.31 deg, d = 3.661 Å, rel. 25; 28.85 deg, d = 3.095 Å, rel. 100; 34.62 deg, d = 2.591 Å, rel. 15; 39.70 deg, d = 2.270 Å, rel. 10; 47.11 deg, d = 1.929 Å, rel. 22; 48.45 deg, d = 1.879 Å, rel. 12; 49.76 deg, d = 1.832 Å, rel. 9; 53.76 deg, d = 1.705 Å, rel. 10; 58.55 deg, d = 1.577 Å, rel. 18

```
Na5TbMo4O16
1.0
-5.794 5.794 5.779
5.794 -5.794 5.779
5.794 5.794 -5.779
Na Tb Mo O
10 2 8 32
Cartesian
4.393 5.258 -3.964
3.433 1.495 1.074
4.393 -0.536 3.964
0.000 2.897 1.445
2.361 -1.495 6.854
3.433 7.290 -1.074
5.794 2.897 4.334
1.402 6.330 1.815
2.361 4.299 4.705
1.402 0.536 9.743
5.794 2.897 -1.445
0.000 2.897 7.224
9.489 1.811 -1.287
6.880 0.798 1.603
2.099 3.983 -1.287
1.086 0.798 4.177
4.708 4.996 1.603
3.695 1.811 7.066
-1.086 4.996 4.177
-3.695 3.983 7.066
4.832 0.817 -0.743
9.531 0.387 -0.230
3.714 -1.935 2.147
6.503 4.176 -3.345
3.714 3.859 -2.147
6.503 -1.618 3.345
1.718 2.556 -0.265
7.074 2.188 0.456
4.076 -2.556 5.514
8.305 0.840 2.660
5.453 1.179 2.625
2.510 0.840 3.119
4.515 3.606 0.456
0.962 -0.817 5.036
-0.341 1.179 3.154
2.057 5.407 -0.230
3.737 0.387 6.009
6.135 4.615 2.625
4.832 6.611 0.743
1.279 2.188 5.323
3.284 4.954 2.660
0.341 4.615 3.154
-2.510 4.954 3.119
1.718 8.350 0.265
-1.279 3.606 5.323
4.076 3.238 6.044
-0.709 7.412 2.434
2.080 1.935 7.926
-0.709 1.618 9.125
2.080 7.730 3.632
-3.737 5.407 6.009
0.962 4.977 6.522
```